Entry 1:
HoCo2Si2: computed X-ray diffraction stick pattern (Cu Kα), based on the GGA-PBE geometry in the Materials Project.
Kinematic intensities with the Lorentz-polarization factor, no thermal factor.

Structure:
```
data_HoCo2Si2
_chemical_formula_sum 'Ho2 Co4 Si4'
_space_group_name_H-M_alt 'I 4/m m m'
_space_group_IT_number 139
_space_group_name_Hall '-I 4 2'
_cell_length_a 3.871
_cell_length_b 3.871
_cell_length_c 9.734
_cell_angle_alpha 90.00
_cell_angle_beta 90.00
_cell_angle_gamma 90.00
loop_
_atom_site_label
_atom_site_fract_x
_atom_site_fract_y
_atom_site_fract_z
Ho1 0.000 0.000 0.000
Co1 0.000 0.500 0.250
Si1 0.000 0.000 0.372
```

Most intense lines, 10° ≤ 2θ ≤ 80°, sorted by position:
hkl 1 0 1, 24.75 deg, I = 54; hkl 1 0 3, 36.12 deg, I = 58; hkl 1 1 2, 37.71 deg, I = 100; hkl 2 0 0, 46.95 deg, I = 38; hkl 1 0 5, 52.62 deg, I = 19; hkl 2 1 3, 60.63 deg, I = 26

Entry 2:
HoCoSi2: computed X-ray diffraction stick pattern (Cu Kα), based on the GGA-PBE geometry in the Materials Project.
Kinematic intensities with the Lorentz-polarization factor, no thermal factor.

Structure:
```
data_HoCoSi2
_chemical_formula_sum 'Ho4 Co4 Si8'
_space_group_name_H-M_alt 'C m c m'
_space_group_IT_number 63
_space_group_name_Hall '-C 2c 2'
_cell_length_a 3.996
_cell_length_b 16.141
_cell_length_c 3.956
_cell_angle_alpha 90.00
_cell_angle_beta 90.00
_cell_angle_gamma 90.00
loop_
_atom_site_label
_atom_site_fract_x
_atom_site_fract_y
_atom_site_fract_z
Ho1 0.000 0.107 0.250
Co1 0.000 0.321 0.250
Si1 0.000 0.250 0.750
Si2 0.000 0.458 0.250
```

Most intense lines, 10° ≤ 2θ ≤ 80°, sorted by position:
hkl 0 4 0, 22.03 deg, I = 36; hkl 0 2 1, 25.07 deg, I = 35; hkl 1 1 1, 32.32 deg, I = 77; hkl 1 5 0, 35.76 deg, I = 72; hkl 1 3 1, 36.05 deg, I = 100; hkl 0 6 1, 40.55 deg, I = 38